# BaEu2Sc2O7
Simulated XRD peak list, Cu Kα X-rays. Input: a DFT-relaxed cell (PBE, the Materials Project).
Neutral-atom scattering factors, no anomalous dispersion.

Top 10 peaks for 2θ from 10° to 90°, in order of rising 2θ:
- 2θ 21.85, rel. 27.0, (1 1 1)
- 2θ 26.56, rel. 16.0, (0 0 6)
- 2θ 30.43, rel. 58.8, (2 0 0)
- 2θ 30.93, rel. 100.0, (1 1 5)
- 2θ 40.82, rel. 24.4, (2 0 6)
- 2θ 43.58, rel. 30.7, (2 2 0)
- 2θ 45.01, rel. 10.1, (0 0 10)
- 2θ 54.39, rel. 33.8, (3 1 5)
- 2θ 54.80, rel. 13.2, (1 1 11)
- 2θ 55.31, rel. 14.2, (2 0 10)

Structure:
a b c (Å): 5.874 5.874 20.139
angles (deg): 90.00 90.00 90.00
Sites, in units of the cell vectors:
Ba: 0.238 0.238 0.000
Ba: 0.262 0.738 0.500
Ba: 0.738 0.262 0.500
Ba: 0.762 0.762 0.000
Eu: 0.214 0.214 0.185
Eu: 0.214 0.214 0.815
Eu: 0.286 0.714 0.315
Eu: 0.286 0.714 0.685
Eu: 0.714 0.286 0.315
Eu: 0.714 0.286 0.685
Eu: 0.786 0.786 0.185
Eu: 0.786 0.786 0.815
Sc: 0.236 0.236 0.396
Sc: 0.236 0.236 0.604
Sc: 0.264 0.736 0.104
Sc: 0.264 0.736 0.896
Sc: 0.736 0.264 0.104
Sc: 0.736 0.264 0.896
Sc: 0.764 0.764 0.396
Sc: 0.764 0.764 0.604
O: 0.000 0.000 0.096
O: 0.000 0.000 0.368
O: 0.000 0.000 0.632
O: 0.000 0.000 0.904
O: 0.000 0.500 0.113
O: 0.000 0.500 0.387
O: 0.000 0.500 0.613
O: 0.000 0.500 0.887
O: 0.181 0.819 0.211
O: 0.181 0.819 0.789
O: 0.215 0.215 0.500
O: 0.285 0.715 0.000
O: 0.319 0.319 0.289
O: 0.319 0.319 0.711
O: 0.500 0.000 0.113
O: 0.500 0.000 0.387
O: 0.500 0.000 0.613
O: 0.500 0.000 0.887
O: 0.500 0.500 0.132
O: 0.500 0.500 0.404
O: 0.500 0.500 0.596
O: 0.500 0.500 0.868
O: 0.681 0.681 0.289
O: 0.681 0.681 0.711
O: 0.715 0.285 0.000
O: 0.785 0.785 0.500
O: 0.819 0.181 0.211
O: 0.819 0.181 0.789